This entry pairs a crystal structure of Pd3N with its theoretical powder X-ray diffraction pattern. Radiation: copper Kα. Structure: a cell relaxed with PBE.
Lines closer than 0.1° are merged.

Cell and atoms:
Lattice parameters (Å, degrees): 7.803 7.803 7.803 90.00 90.00 90.00
Space group Im-3 (No. 204)
One atom of each set of equivalent atoms:
1 Pd 0.000 0.313 0.189 x24
2 N 0.250 0.250 0.250 x8

Peak list (10 most intense, 10° ≤ 2θ ≤ 80°, low angle first)
Position (°2θ), I_rel, (hkl)
22.79, 15, 2 0 0
32.45, 23, 2 2 0
36.41, 100, 3 0 1
40.03, 27, 2 2 2
43.39, 65, 3 1 2
52.44, 13, 4 0 2
55.21, 12, 3 3 2
70.35, 37, 5 3 0
72.71, 9, 6 0 0
75.04, 32, 5 2 3